[1]
Structure and computed X-ray diffraction stick pattern of K2LaAlS4 (DFT lattice parameters and positions (PBE); Cu Kα, 1.54184 Å).
No peak broadening, texture or thermal motion is included.

Principal peaks in the range 10 to 80 degrees two-theta, by angle:
d (Å), 2theta, I_rel
6.539, 13.54, 56
5.864, 15.11, 22
3.607, 24.68, 21
3.480, 25.59, 21
2.932, 30.49, 51
2.912, 30.70, 100
2.608, 34.39, 16
2.162, 41.78, 16
2.066, 43.82, 63
1.969, 46.09, 16

Atomic structure:
Cell: 8.2826 8.2826 8.2826 Å, 123.21 117.05 89.85°
Element x y z (fractional)
K 0.0000 0.0000 0.0000
K 0.5000 0.0000 0.0000
K 0.5000 0.0000 0.5000
K 0.5000 0.5000 0.5000
La 0.0000 0.5000 0.5000
La 0.5000 0.5000 0.0000
Al 0.0000 0.0000 0.5000
Al 0.0000 0.5000 0.0000
S 0.1876 0.7453 0.4423
S 0.1971 0.2547 0.9423
S 0.2204 0.2354 0.5150
S 0.2204 0.7054 0.9850
S 0.7796 0.2946 0.0150
S 0.7796 0.7646 0.4850
S 0.8029 0.7453 0.0577
S 0.8124 0.2547 0.5577

[2]
Structure and computed X-ray diffraction stick pattern of KMg6Al (DFT lattice parameters and positions (PBE); Cu Kα, 1.54184 Å).
No peak broadening, texture or thermal motion is included.

Principal peaks in the range 10 to 80 degrees two-theta, by angle:
d (Å), 2theta, I_rel
3.085, 28.94, 6
2.711, 33.05, 15
2.643, 33.92, 100
2.562, 35.02, 26
2.465, 36.46, 7
2.347, 38.36, 10
1.838, 49.58, 11
1.526, 60.70, 9
1.494, 62.12, 13
1.371, 68.45, 6

Atomic structure:
Cell: 5.1240 7.6040 10.5591 Å, 90.00 90.00 90.00°
Element x y z (fractional)
K 0.0000 0.0000 0.0000
K 0.0000 0.5000 0.5000
Mg 0.0000 0.0000 0.4381
Mg 0.0000 0.2000 0.7211
Mg 0.0000 0.3000 0.2211
Mg 0.0000 0.5000 0.9381
Mg 0.0000 0.7000 0.2211
Mg 0.0000 0.8000 0.7211
Mg 0.5000 0.0000 0.2548
Mg 0.5000 0.2053 0.5234
Mg 0.5000 0.2947 0.0234
Mg 0.5000 0.5000 0.7548
Mg 0.5000 0.7053 0.0234
Mg 0.5000 0.7947 0.5234
Al 0.5000 0.0000 0.7770
Al 0.5000 0.5000 0.2770